For Li4Mn3Nb3Te2O16, a crystal structure in Alexandria, relaxed with GGA+U gives the theoretical powder diffractogram in this record (Cu Kα, 1.54184 Å).
Intensities are scaled so that the largest is 100.

Main lines, by angle (15 to 90 degrees two-theta):
16.81°, d 5.275, I 53; 18.10°, d 4.901, I 56; 18.58°, d 4.776, I 100; 23.69°, d 3.756, I 49; 30.36°, d 2.944, I 46; 32.88°, d 2.724, I 36; 33.08°, d 2.708, I 33; 33.88°, d 2.646, I 34; 34.53°, d 2.597, I 68; 58.24°, d 1.584, I 32

Atomic structure:
```
data_Li4Mn3Nb3Te2O16
_chemical_formula_sum 'Li8 Mn6 Nb6 Te4 O32'
_cell_length_a 11.112
_cell_length_b 6.117
_cell_length_c 10.550
_cell_angle_alpha 90.00
_cell_angle_beta 90.44
_cell_angle_gamma 90.00
_space_group_name_H-M_alt 'C 1 m 1'
_space_group_IT_number 8
_space_group_name_Hall 'C -2y'
loop_
_atom_site_label
_atom_site_fract_x
_atom_site_fract_y
_atom_site_fract_z
Li1 0.000 0.000 0.000
Li2 0.006 0.000 0.510
Li3 0.158 0.500 0.587
Li4 0.332 0.000 0.092
Mn1 0.339 0.500 0.286
Mn2 0.413 0.246 0.779
Nb1 0.095 0.260 0.273
Nb2 0.178 0.000 0.758
Te1 0.170 0.500 0.976
Te2 0.359 0.000 0.495
O1 0.003 0.000 0.182
O2 0.005 0.500 0.170
O3 0.010 0.000 0.693
O4 0.087 0.255 0.891
O5 0.137 0.000 0.388
O6 0.161 0.500 0.394
O7 0.237 0.250 0.176
O8 0.242 0.231 0.660
O9 0.311 0.000 0.886
O10 0.329 0.500 0.899
O11 0.433 0.247 0.404
O12 0.475 0.000 0.633
```